Record 1
Diffraction record for Tb7Sm2Er. The powder XRD pattern is simulated, not measured: it uses a DFT-relaxed cell (PBE, Alexandria) and Cu Kα, 1.54184 Å.
Intensities are scaled so that the largest is 100.

Peak list (6 most intense, 15° ≤ 2θ ≤ 90°, by angle)
2θ/deg	intensity
30.28	20
31.75	27
31.91	100
44.44	14
56.66	20
62.08	12

Crystal structure
Cell: 5.637 7.057 8.738 Å, 101.66 108.77 90.05°
Fractional positions:
Tb (0.000, 0.000, 0.000)
Tb (0.210, 0.856, 0.421)
Tb (0.401, 0.700, 0.803)
Tb (0.403, 0.201, 0.806)
Tb (0.597, 0.799, 0.194)
Tb (0.599, 0.300, 0.197)
Tb (0.790, 0.144, 0.579)
Sm (0.211, 0.355, 0.422)
Sm (0.789, 0.645, 0.578)
Er (0.000, 0.500, 0.000)

Record 2
Diffraction record for Tb12Sm5Er. The powder XRD pattern is simulated, not measured: it uses a DFT-relaxed cell (PBE, Alexandria) and Cu Kα, 1.54184 Å.
Intensities are scaled so that the largest is 100.

Peak list (6 most intense, 15° ≤ 2θ ≤ 90°, by angle)
2θ/deg	intensity
30.03	96
30.85	88
31.93	100
33.59	88
50.95	66
60.75	77

Crystal structure
Cell: 6.208 6.208 17.516 Å, 93.40 93.40 119.97°
Fractional positions:
Tb (0.056, 0.723, 0.668)
Tb (0.111, 0.444, 0.833)
Tb (0.223, 0.223, 0.167)
Tb (0.277, 0.944, 0.332)
Tb (0.388, 0.388, 0.668)
Tb (0.444, 0.111, 0.833)
Tb (0.556, 0.889, 0.167)
Tb (0.612, 0.612, 0.332)
Tb (0.723, 0.056, 0.668)
Tb (0.777, 0.777, 0.833)
Tb (0.889, 0.556, 0.167)
Tb (0.944, 0.277, 0.332)
Sm (0.167, 0.833, 0.000)
Sm (0.333, 0.667, 0.500)
Sm (0.500, 0.500, 0.000)
Sm (0.667, 0.333, 0.500)
Sm (0.833, 0.167, 0.000)
Er (0.000, 0.000, 0.500)

Record 3
Diffraction record for Tb6SmEr6. The powder XRD pattern is simulated, not measured: it uses a DFT-relaxed cell (PBE, Alexandria) and Cu Kα, 1.54184 Å.
Intensities are scaled so that the largest is 100.

Peak list (6 most intense, 15° ≤ 2θ ≤ 90°, by angle)
2θ/deg	intensity
29.22	100
30.26	82
31.85	40
32.27	51
34.35	57
34.46	74

Crystal structure
Cell: 6.546 10.985 6.575 Å, 90.00 115.47 90.00°
Fractional positions:
Tb (0.000, 0.165, 0.000)
Tb (0.000, 0.835, 0.000)
Tb (0.269, 0.000, 0.740)
Tb (0.333, 0.500, 0.618)
Tb (0.667, 0.500, 0.382)
Tb (0.731, 0.000, 0.260)
Sm (0.000, 0.500, 0.000)
Er (0.000, 0.267, 0.500)
Er (0.000, 0.733, 0.500)
Er (0.500, 0.199, 0.500)
Er (0.500, 0.282, 0.000)
Er (0.500, 0.718, 0.000)
Er (0.500, 0.801, 0.500)

Record 4
Diffraction record for Tb4Sm4Er5. The powder XRD pattern is simulated, not measured: it uses a DFT-relaxed cell (PBE, Alexandria) and Cu Kα, 1.54184 Å.
Intensities are scaled so that the largest is 100.

Peak list (6 most intense, 15° ≤ 2θ ≤ 90°, by angle)
2θ/deg	intensity
30.77	100
35.68	51
51.35	36
61.03	29
61.13	14
83.77	18

Crystal structure
Cell: 9.421 9.421 9.421 Å, 94.08 94.08 149.06°
Fractional positions:
Tb (0.153, 0.229, 0.383)
Tb (0.229, 0.847, 0.076)
Tb (0.771, 0.153, 0.924)
Tb (0.847, 0.771, 0.617)
Sm (0.078, 0.617, 0.695)
Sm (0.383, 0.078, 0.462)
Sm (0.617, 0.922, 0.538)
Sm (0.922, 0.383, 0.305)
Er (0.000, 0.000, 0.000)
Er (0.310, 0.461, 0.771)
Er (0.461, 0.690, 0.151)
Er (0.539, 0.310, 0.849)
Er (0.690, 0.539, 0.229)

Record 5
Diffraction record for Tb5SmEr3. The powder XRD pattern is simulated, not measured: it uses a DFT-relaxed cell (PBE, Alexandria) and Cu Kα, 1.54184 Å.
Intensities are scaled so that the largest is 100.

Peak list (6 most intense, 15° ≤ 2θ ≤ 90°, by angle)
2θ/deg	intensity
28.22	27
30.20	22
31.80	100
32.13	44
32.61	34
34.44	23

Crystal structure
Cell: 9.717 9.717 11.267 Å, 111.97 111.97 37.97°
Fractional positions:
Tb (0.041, 0.623, 0.293)
Tb (0.105, 0.895, 0.750)
Tb (0.150, 0.509, 0.632)
Tb (0.377, 0.959, 0.207)
Tb (0.491, 0.850, 0.868)
Tb (0.509, 0.150, 0.132)
Tb (0.623, 0.041, 0.793)
Tb (0.850, 0.491, 0.368)
Tb (0.895, 0.105, 0.250)
Tb (0.959, 0.377, 0.707)
Sm (0.367, 0.633, 0.250)
Sm (0.633, 0.367, 0.750)
Er (0.036, 0.640, 0.986)
Er (0.360, 0.964, 0.514)
Er (0.500, 0.500, 0.000)
Er (0.500, 0.500, 0.500)
Er (0.640, 0.036, 0.486)
Er (0.964, 0.360, 0.014)

Record 6
Diffraction record for Tb2Sm2Er. The powder XRD pattern is simulated, not measured: it uses a DFT-relaxed cell (PBE, Alexandria) and Cu Kα, 1.54184 Å.
Intensities are scaled so that the largest is 100.

Peak list (6 most intense, 15° ≤ 2θ ≤ 90°, by angle)
2θ/deg	intensity
29.64	31
31.32	52
31.44	100
31.67	26
33.92	20
34.66	33

Crystal structure
Cell: 16.318 16.318 16.318 Å, 167.34 159.84 23.88°
Fractional positions:
Tb (0.271, 0.021, 0.250)
Tb (0.369, 0.119, 0.250)
Tb (0.631, 0.881, 0.750)
Tb (0.729, 0.979, 0.750)
Sm (0.059, 0.809, 0.250)
Sm (0.457, 0.707, 0.750)
Sm (0.543, 0.293, 0.250)
Sm (0.941, 0.191, 0.750)
Er (0.173, 0.423, 0.750)
Er (0.827, 0.577, 0.250)

Copy entry 1 word for word.
Diffraction record for Tb7Sm2Er. The powder XRD pattern is simulated, not measured: it uses a DFT-relaxed cell (PBE, Alexandria) and Cu Kα, 1.54184 Å.
Intensities are scaled so that the largest is 100.

Peak list (6 most intense, 15° ≤ 2θ ≤ 90°, by angle)
2θ/deg	intensity
30.28	20
31.75	27
31.91	100
44.44	14
56.66	20
62.08	12

Crystal structure
Cell: 5.637 7.057 8.738 Å, 101.66 108.77 90.05°
Fractional positions:
Tb (0.000, 0.000, 0.000)
Tb (0.210, 0.856, 0.421)
Tb (0.401, 0.700, 0.803)
Tb (0.403, 0.201, 0.806)
Tb (0.597, 0.799, 0.194)
Tb (0.599, 0.300, 0.197)
Tb (0.790, 0.144, 0.579)
Sm (0.211, 0.355, 0.422)
Sm (0.789, 0.645, 0.578)
Er (0.000, 0.500, 0.000)